Record 1
Theoretical powder diffraction line list
Compound: LiMn2O3F
Radiation: Cu Kα
Structure: DFT lattice parameters and positions (PBE+U)
Peak positions follow from Bragg's law for the DFT cell and can differ from measured ones.

Structural model:
Lattice parameters (Å, degrees): 6.039 6.159 8.496 91.06 92.68 91.87
Space group P-1 (No. 2)
One atom of each set of equivalent atoms:
Li1 0.210 0.004 0.108 (multiplicity 2)
Li2 0.288 0.496 0.393 (multiplicity 2)
Mn1 0.000 0.000 0.500 (multiplicity 1)
Mn2 0.000 0.500 0.000 (multiplicity 1)
Mn3 0.251 0.250 0.751 (multiplicity 2)
Mn4 0.251 0.750 0.750 (multiplicity 2)
Mn5 0.500 0.000 0.500 (multiplicity 1)
Mn6 0.500 0.500 0.000 (multiplicity 1)
O1 0.045 0.995 0.734 (multiplicity 2)
O2 0.220 0.730 0.975 (multiplicity 2)
O3 0.242 0.289 0.980 (multiplicity 2)
O4 0.258 0.209 0.520 (multiplicity 2)
O5 0.281 0.769 0.526 (multiplicity 2)
O6 0.457 0.503 0.766 (multiplicity 2)
F1 0.020 0.510 0.264 (multiplicity 2)
F2 0.478 0.991 0.235 (multiplicity 2)

Principal peaks in the range 2θ from 10° to 90°, sorted by position:
index	2θ (°)	intensity
0 1 -1	17.63	100
0 1 1	17.97	47
1 0 1	18.45	50
-2 1 1	33.97	32
2 1 -1	34.67	25
1 2 1	35.20	22
2 -2 0	41.21	44
2 2 0	42.65	77
0 4 0	60.12	26
4 0 0	61.49	22

---

Record 2
Theoretical powder diffraction line list
Compound: Li2MnO2F
Radiation: Cu Kα
Structure: DFT lattice parameters and positions (PBE+U)
Peak positions follow from Bragg's law for the DFT cell and can differ from measured ones.

Structural model:
Lattice parameters (Å, degrees): 2.9900 2.9900 14.4158 90.00 90.00 120.00
Space group P-3m1 (No. 164)
One atom of each set of equivalent atoms:
Li1 0.0000 0.0000 0.0000 (multiplicity 1)
Li2 0.0000 0.0000 0.5000 (multiplicity 1)
Li3 0.3333 0.6667 0.3392 (multiplicity 2)
Mn1 0.3333 0.6667 0.8312 (multiplicity 2)
O1 0.0000 0.0000 0.2457 (multiplicity 2)
O2 0.3333 0.6667 0.0907 (multiplicity 2)
F1 0.3333 0.6667 0.5808 (multiplicity 2)

Principal peaks in the range 2θ from 10° to 90°, sorted by position:
index	2θ (°)	intensity
0 0 2	12.28	38
0 0 3	18.46	70
0 1 1	35.21	41
1 0 3	39.53	12
0 1 4	43.01	100
1 0 5	47.18	12
0 1 7	57.15	12
1 1 0	62.08	27
1 0 8	62.83	26
2 0 4	78.50	12

---

Record 3
Theoretical powder diffraction line list
Compound: Li2MnOF2
Radiation: Cu Kα
Structure: DFT lattice parameters and positions (PBE+U)
Peak positions follow from Bragg's law for the DFT cell and can differ from measured ones.

Structural model:
Lattice parameters (Å, degrees): 10.823 6.002 4.174 90.00 90.00 90.00
Space group Cmcm (No. 63)
One atom of each set of equivalent atoms:
Li1 0.167 0.168 0.250 (multiplicity 8)
Mn1 0.000 0.333 0.750 (multiplicity 4)
O1 0.000 0.311 0.250 (multiplicity 4)
F1 0.180 0.158 0.750 (multiplicity 8)

Principal peaks in the range 2θ from 10° to 90°, sorted by position:
index	2θ (°)	intensity
2 0 0	16.38	87
1 1 0	16.89	45
1 1 1	27.30	100
3 1 0	28.87	88
0 2 0	29.77	42
4 0 0	33.11	29
2 2 1	40.61	55
0 0 2	43.36	53
3 3 0	52.29	54
3 3 2	70.20	37

---

Record 4
Theoretical powder diffraction line list
Compound: Li2Mn4OF8
Radiation: Cu Kα
Structure: DFT lattice parameters and positions (PBE+U)
Peak positions follow from Bragg's law for the DFT cell and can differ from measured ones.

Structural model:
Lattice parameters (Å, degrees): 7.065 8.082 8.745 69.18 66.55 79.52
Space group P-1 (No. 2)
One atom of each set of equivalent atoms:
Li1 0.107 0.267 0.410 (multiplicity 2)
Li2 0.261 0.765 0.868 (multiplicity 2)
Mn1 0.172 0.406 0.749 (multiplicity 2)
Mn2 0.291 0.099 0.046 (multiplicity 2)
Mn3 0.364 0.597 0.266 (multiplicity 2)
Mn4 0.438 0.875 0.419 (multiplicity 2)
O1 0.420 0.227 0.783 (multiplicity 2)
F1 0.023 0.238 0.020 (multiplicity 2)
F2 0.133 0.500 0.231 (multiplicity 2)
F3 0.187 0.698 0.489 (multiplicity 2)
F4 0.240 0.087 0.300 (multiplicity 2)
F5 0.271 0.344 0.503 (multiplicity 2)
F6 0.334 0.940 0.648 (multiplicity 2)
F7 0.348 0.838 0.019 (multiplicity 2)
F8 0.350 0.561 0.798 (multiplicity 2)

Principal peaks in the range 2θ from 10° to 90°, sorted by position:
index	2θ (°)	intensity
1 0 0	13.68	100
1 1 1	15.63	29
1 1 0	17.62	21
0 1 2	22.60	32
0 2 1	22.78	22
0 2 2	27.56	39
0 1 -2	29.39	51
2 -1 1	30.39	22
2 2 2	31.53	32
4 1 2	51.80	26

---

What did the second record say?
Theoretical powder diffraction line list
Compound: Li2MnO2F
Radiation: Cu Kα
Structure: DFT lattice parameters and positions (PBE+U)
Peak positions follow from Bragg's law for the DFT cell and can differ from measured ones.

Structural model:
Lattice parameters (Å, degrees): 2.9900 2.9900 14.4158 90.00 90.00 120.00
Space group P-3m1 (No. 164)
One atom of each set of equivalent atoms:
Li1 0.0000 0.0000 0.0000 (multiplicity 1)
Li2 0.0000 0.0000 0.5000 (multiplicity 1)
Li3 0.3333 0.6667 0.3392 (multiplicity 2)
Mn1 0.3333 0.6667 0.8312 (multiplicity 2)
O1 0.0000 0.0000 0.2457 (multiplicity 2)
O2 0.3333 0.6667 0.0907 (multiplicity 2)
F1 0.3333 0.6667 0.5808 (multiplicity 2)

Principal peaks in the range 2θ from 10° to 90°, sorted by position:
index	2θ (°)	intensity
0 0 2	12.28	38
0 0 3	18.46	70
0 1 1	35.21	41
1 0 3	39.53	12
0 1 4	43.01	100
1 0 5	47.18	12
0 1 7	57.15	12
1 1 0	62.08	27
1 0 8	62.83	26
2 0 4	78.50	12